No. 1
Theoretical powder diffractogram
Compound: K6SeI2Br3
Radiation: Cu Kα (weighted mean of Kα1 and Kα2)
Structure: a structure optimized by DFT (PBE)
Lines closer than 0.1° are merged.

Structural model:
```
data_K6SeI2Br3
_cell_length_a 8.4857
_cell_length_b 14.0789
_cell_length_c 8.5530
_cell_angle_alpha 90.00
_cell_angle_beta 107.74
_cell_angle_gamma 90.00
_space_group_name_H-M_alt 'C 1 2/m 1'
_space_group_IT_number 12
loop_
_space_group_symop_operation_xyz
'x,y,z'
'-x,-y,-z'
'-x,y,-z'
'x,-y,z'
'x+1/2,y+1/2,z'
'-x+1/2,-y+1/2,-z'
'-x+1/2,y+1/2,-z'
'x+1/2,-y+1/2,z'
loop_
_atom_site_label
_atom_site_fract_x
_atom_site_fract_y
_atom_site_fract_z
_atom_site_occupancy
K1 0.2354 0.0000 0.2432 1
K2 0.2442 0.3398 0.2310 1
Se1 0.0000 0.0000 0.5000 1
I1 0.0000 0.3258 0.5000 1
Br1 0.0000 0.1679 0.0000 1
Br2 0.0000 0.5000 0.0000 1
```

Top 10 peaks for 10 to 90 degrees two-theta, in order of rising 2θ:
hkl 0 0 2, 21.8°, intensity 10
hkl 2 0 0, 22.0°, intensity 8
hkl 1 3 -1, 22.9°, intensity 14
hkl 2 0 -2, 26.0°, intensity 100
hkl 2 0 2, 35.8°, intensity 14
hkl 1 3 -3, 36.9°, intensity 25
hkl 3 3 -1, 37.1°, intensity 25
hkl 0 6 0, 38.4°, intensity 11
hkl 0 0 4, 44.5°, intensity 10
hkl 2 6 -2, 46.9°, intensity 12

No. 2
Theoretical powder diffractogram
Compound: Ag7TeS2Br2
Radiation: Cu Kα (weighted mean of Kα1 and Kα2)
Structure: a structure optimized by DFT (PBE)
Lines closer than 0.1° are merged.

Structural model:
```
data_Ag7TeS2Br2
_cell_length_a 4.5285
_cell_length_b 20.1208
_cell_length_c 6.8780
_cell_angle_alpha 90.00
_cell_angle_beta 90.00
_cell_angle_gamma 90.00
_space_group_name_H-M_alt 'I m m 2'
_space_group_IT_number 44
loop_
_space_group_symop_operation_xyz
'x,y,z'
'-x,-y,z'
'-x,y,z'
'x,-y,z'
'x+1/2,y+1/2,z+1/2'
'-x+1/2,-y+1/2,z+1/2'
'-x+1/2,y+1/2,z+1/2'
'x+1/2,-y+1/2,z+1/2'
loop_
_atom_site_label
_atom_site_fract_x
_atom_site_fract_y
_atom_site_fract_z
_atom_site_occupancy
Ag1 0.0000 0.0000 0.0000 1
Ag2 0.0000 0.0777 0.3897 1
Ag3 0.0000 0.2188 0.8609 1
Ag4 0.0000 0.4217 0.3696 1
Te1 0.0000 0.5000 0.7588 1
S1 0.0000 0.1017 0.7473 1
Br1 0.0000 0.2092 0.2676 1
```

Top 10 peaks for 10 to 90 degrees two-theta, in order of rising 2θ:
hkl 0 5 1, 25.6°, intensity 36
hkl 0 0 2, 25.9°, intensity 100
hkl 1 4 1, 29.5°, intensity 81
hkl 1 3 2, 35.4°, intensity 56
hkl 1 6 1, 35.8°, intensity 74
hkl 0 6 2, 37.5°, intensity 34
hkl 2 0 0, 39.8°, intensity 82
hkl 1 8 1, 43.2°, intensity 56
hkl 1 2 3, 45.2°, intensity 81
hkl 2 0 2, 48.1°, intensity 35

Copy entry 1 word for word.
Theoretical powder diffractogram
Compound: K6SeI2Br3
Radiation: Cu Kα (weighted mean of Kα1 and Kα2)
Structure: a structure optimized by DFT (PBE)
Lines closer than 0.1° are merged.

Structural model:
```
data_K6SeI2Br3
_cell_length_a 8.4857
_cell_length_b 14.0789
_cell_length_c 8.5530
_cell_angle_alpha 90.00
_cell_angle_beta 107.74
_cell_angle_gamma 90.00
_space_group_name_H-M_alt 'C 1 2/m 1'
_space_group_IT_number 12
loop_
_space_group_symop_operation_xyz
'x,y,z'
'-x,-y,-z'
'-x,y,-z'
'x,-y,z'
'x+1/2,y+1/2,z'
'-x+1/2,-y+1/2,-z'
'-x+1/2,y+1/2,-z'
'x+1/2,-y+1/2,z'
loop_
_atom_site_label
_atom_site_fract_x
_atom_site_fract_y
_atom_site_fract_z
_atom_site_occupancy
K1 0.2354 0.0000 0.2432 1
K2 0.2442 0.3398 0.2310 1
Se1 0.0000 0.0000 0.5000 1
I1 0.0000 0.3258 0.5000 1
Br1 0.0000 0.1679 0.0000 1
Br2 0.0000 0.5000 0.0000 1
```

Top 10 peaks for 10 to 90 degrees two-theta, in order of rising 2θ:
hkl 0 0 2, 21.8°, intensity 10
hkl 2 0 0, 22.0°, intensity 8
hkl 1 3 -1, 22.9°, intensity 14
hkl 2 0 -2, 26.0°, intensity 100
hkl 2 0 2, 35.8°, intensity 14
hkl 1 3 -3, 36.9°, intensity 25
hkl 3 3 -1, 37.1°, intensity 25
hkl 0 6 0, 38.4°, intensity 11
hkl 0 0 4, 44.5°, intensity 10
hkl 2 6 -2, 46.9°, intensity 12